# AcNdTlSn
Calculated X-ray diffraction stick pattern, a wavelength of 1.5418 Å. Input: a crystal structure in Alexandria, relaxed with PBE.
No peak broadening, texture or thermal motion is included.

Structural model:
a b c (Å): 4.544 4.838 12.258
angles (deg): 90.00 90.00 90.00
Space group Amm2 (No. 38)
One atom of each set of equivalent atoms:
Ac1 0.000 0.000 0.000 x2
Nd1 0.500 0.000 0.725 x2
Tl1 0.500 0.000 0.442 x2
Sn1 0.000 0.000 0.274 x2

Principal peaks in the range 15° ≤ 2θ ≤ 90°, most intense first:
2theta	I_rel	(hkl)
27.90	100.0	1 1 1
34.87	71.7	1 1 3
29.14	28.1	0 0 4
37.17	27.1	0 2 0
28.59	22.9	0 1 3
39.67	22.7	2 0 0


# SrAcNd
Calculated X-ray diffraction stick pattern, a wavelength of 1.5418 Å. Input: a crystal structure in Alexandria, relaxed with PBE.
No peak broadening, texture or thermal motion is included.

Structural model:
a b c (Å): 6.1898 6.1898 7.7494
angles (deg): 90.00 90.00 120.00
Space group P6/mmm (No. 191)
One atom of each set of equivalent atoms:
Sr1 0.3333 0.6667 0.0000 x2
Ac1 0.0000 0.0000 0.2691 x2
Nd1 0.3333 0.6667 0.5000 x2

Principal peaks in the range 15° ≤ 2θ ≤ 90°, most intense first:
2theta	I_rel	(hkl)
28.42	100.0	1 0 2
28.85	90.8	1 1 0
50.86	40.9	2 1 2
40.94	38.0	2 0 2
56.00	25.6	1 1 4
51.12	18.8	3 0 0


# SrAc7Nd4
Calculated X-ray diffraction stick pattern, a wavelength of 1.5418 Å. Input: a crystal structure in Alexandria, relaxed with PBE.
No peak broadening, texture or thermal motion is included.

Structural model:
a b c (Å): 6.767 7.827 10.338
angles (deg): 78.74 70.96 89.97
Space group P-1 (No. 2)
One atom of each set of equivalent atoms:
Sr1 0.000 0.000 0.000 x1
Ac1 0.000 0.500 0.000 x1
Ac2 0.171 0.916 0.342 x2
Ac3 0.335 0.338 0.661 x2
Ac4 0.498 0.742 0.997 x2
Nd1 0.164 0.415 0.335 x2
Nd2 0.343 0.829 0.660 x2

Principal peaks in the range 15° ≤ 2θ ≤ 90°, most intense first:
2theta	I_rel	(hkl)
27.95	100.0	1 2 0
32.44	45.5	2 0 -1
27.99	33.1	0 0 3
46.49	25.5	3 2 2
32.31	22.8	1 2 3
55.14	20.7	4 0 1


# SrAc5Nd2
Calculated X-ray diffraction stick pattern, a wavelength of 1.5418 Å. Input: a crystal structure in Alexandria, relaxed with PBE.
No peak broadening, texture or thermal motion is included.

Structural model:
a b c (Å): 3.931 12.070 14.682
angles (deg): 90.00 90.00 90.00
Space group Immm (No. 71)
One atom of each set of equivalent atoms:
Sr1 0.000 0.000 0.000 x2
Ac1 0.000 0.230 0.366 x8
Ac2 0.000 0.500 0.000 x2
Nd1 0.000 0.500 0.252 x4

Principal peaks in the range 15° ≤ 2θ ≤ 90°, most intense first:
2theta	I_rel	(hkl)
28.46	100.0	0 2 4
27.76	79.4	1 2 1
29.14	50.3	1 0 3
29.61	41.5	0 4 0
55.15	32.5	2 2 4
42.02	31.6	1 4 3


Question: Number 1 is which compound?
Answer: AcNdTlSn


Please write out number 1 again, unchanged.
# AcNdTlSn
Calculated X-ray diffraction stick pattern, a wavelength of 1.5418 Å. Input: a crystal structure in Alexandria, relaxed with PBE.
No peak broadening, texture or thermal motion is included.

Structural model:
a b c (Å): 4.544 4.838 12.258
angles (deg): 90.00 90.00 90.00
Space group Amm2 (No. 38)
One atom of each set of equivalent atoms:
Ac1 0.000 0.000 0.000 x2
Nd1 0.500 0.000 0.725 x2
Tl1 0.500 0.000 0.442 x2
Sn1 0.000 0.000 0.274 x2

Principal peaks in the range 15° ≤ 2θ ≤ 90°, most intense first:
2theta	I_rel	(hkl)
27.90	100.0	1 1 1
34.87	71.7	1 1 3
29.14	28.1	0 0 4
37.17	27.1	0 2 0
28.59	22.9	0 1 3
39.67	22.7	2 0 0